Diffraction record for Si3N4. The PXRD pattern is calculated, not measured: it uses a crystal structure in the Materials Project, relaxed with GGA-PBE and Cu Kα (λ = 1.5418 Å).
No peak broadening, texture or thermal motion is included.

Atomic structure:
a = 5.507 Å, b = 5.507 Å, c = 5.507 Å
α = 60.00°, β = 60.00°, γ = 60.00°
Sites, in units of the cell vectors:
1 Si 0.000 0.000 0.000
2 Si 0.000 0.000 0.500
3 Si 0.000 0.500 0.000
4 Si 0.375 0.375 0.375
5 Si 0.500 0.000 0.000
6 Si 0.625 0.625 0.625
7 N 0.228 0.757 0.757
8 N 0.243 0.243 0.243
9 N 0.243 0.243 0.772
10 N 0.243 0.772 0.243
11 N 0.757 0.228 0.757
12 N 0.757 0.757 0.228
13 N 0.757 0.757 0.757
14 N 0.772 0.243 0.243

Largest 6 diffraction maxima, in order of rising 2θ, 5 to 70 degrees two-theta:
d_spacing  I_rel
4.496  15
2.753  30
2.348  100
1.947  36
1.499  38
1.377  61